1.
For Tb12TlCo6, a structure optimized by DFT (PBE) gives the theoretical X-ray diffraction stick pattern in this record (Cu Kα, 1.54184 Å).

Crystal structure
Unit cell a=8.3914 b=8.3914 c=8.3914 alpha=109.47 beta=109.47 gamma=109.47
Fractional coordinates of all 19 atoms:
Tb1 0.1098 0.3036 0.8061
Tb2 0.1939 0.4975 0.3036
Tb3 0.1939 0.8902 0.6964
Tb4 0.3036 0.1939 0.4975
Tb5 0.3036 0.8061 0.1098
Tb6 0.4975 0.3036 0.1939
Tb7 0.5025 0.6964 0.8061
Tb8 0.6964 0.1939 0.8902
Tb9 0.6964 0.8061 0.5025
Tb10 0.8061 0.1098 0.3036
Tb11 0.8061 0.5025 0.6964
Tb12 0.8902 0.6964 0.1939
Tl1 0.0000 0.0000 0.0000
Co1 0.1127 0.5000 0.6127
Co2 0.3873 0.8873 0.5000
Co3 0.5000 0.3873 0.8873
Co4 0.5000 0.6127 0.1127
Co5 0.6127 0.1127 0.5000
Co6 0.8873 0.5000 0.3873

Main lines, by intensity (10° ≤ 2θ ≤ 90°):
| d/Å | 2θ (°) | Rel. int. |
| --- | --- | --- |
| 2.590 | 34.64 | 100 |
| 2.797 | 32.00 | 57 |
| 3.064 | 29.14 | 47 |
| 1.572 | 58.74 | 40 |
| 1.662 | 55.28 | 36 |
| 1.900 | 47.87 | 25 |
| 2.422 | 37.11 | 22 |
| 1.370 | 68.47 | 21 |

2.
For HoLuGa2Fe4, a structure optimized by DFT (PBE) gives the theoretical X-ray diffraction stick pattern in this record (Cu Kα, 1.54184 Å).

Crystal structure
Unit cell a=3.9347 b=4.9140 c=6.7665 alpha=90.00 beta=90.00 gamma=90.00
Fractional coordinates of all 8 atoms:
Ho1 0.0000 0.0000 0.0000
Lu1 0.0000 0.5000 0.3739
Ga1 0.5000 0.0000 0.3497
Ga2 0.5000 0.5000 0.0208
Fe1 0.0000 0.0000 0.5868
Fe2 0.0000 0.5000 0.7790
Fe3 0.5000 0.2509 0.6833
Fe4 0.5000 0.7491 0.6833

Main lines, by intensity (10° ≤ 2θ ≤ 90°):
| d/Å | 2θ (°) | Rel. int. |
| --- | --- | --- |
| 2.797 | 32.00 | 100 |
| 2.274 | 39.63 | 94 |
| 1.967 | 46.14 | 34 |
| 1.482 | 62.68 | 32 |
| 2.256 | 39.97 | 30 |
| 2.457 | 36.57 | 30 |
| 2.084 | 43.42 | 28 |
| 1.989 | 45.61 | 27 |

3.
For BaMg2CdSi, a structure optimized by DFT (PBE) gives the theoretical X-ray diffraction stick pattern in this record (Cu Kα, 1.54184 Å).

Crystal structure
Unit cell a=7.0173 b=7.0173 c=7.0173 alpha=141.55 beta=141.55 gamma=55.50
Fractional coordinates of all 5 atoms:
Ba1 0.0000 0.0000 0.0000
Mg1 0.2680 0.7680 0.5000
Mg2 0.7680 0.2680 0.5000
Cd1 0.6162 0.6162 0.0000
Si1 0.3942 0.3942 0.0000

Main lines, by intensity (10° ≤ 2θ ≤ 90°):
| d/Å | 2θ (°) | Rel. int. |
| --- | --- | --- |
| 3.084 | 28.96 | 100 |
| 2.892 | 30.92 | 87 |
| 3.267 | 27.29 | 60 |
| 2.188 | 41.26 | 54 |
| 2.310 | 38.98 | 49 |
| 1.849 | 49.28 | 45 |
| 6.210 | 14.26 | 41 |
| 1.589 | 58.06 | 39 |

4.
For Na6AgHg, a structure optimized by DFT (PBE) gives the theoretical X-ray diffraction stick pattern in this record (Cu Kα, 1.54184 Å).

Crystal structure
Unit cell a=5.1708 b=5.1708 c=7.3314 alpha=90.00 beta=90.00 gamma=90.00
Fractional coordinates of all 8 atoms:
Na1 0.0000 0.0000 0.0000
Na2 0.0000 0.5000 0.2468
Na3 0.0000 0.5000 0.7532
Na4 0.5000 0.0000 0.2468
Na5 0.5000 0.0000 0.7532
Na6 0.5000 0.5000 0.5000
Ag1 0.5000 0.5000 0.0000
Hg1 0.0000 0.0000 0.5000

Main lines, by intensity (10° ≤ 2θ ≤ 90°):
| d/Å | 2θ (°) | Rel. int. |
| --- | --- | --- |
| 2.588 | 34.67 | 100 |
| 4.226 | 21.02 | 75 |
| 2.207 | 40.90 | 42 |
| 3.659 | 24.32 | 40 |
| 1.494 | 62.13 | 35 |
| 1.679 | 54.66 | 18 |
| 2.113 | 42.80 | 12 |
| 1.828 | 49.88 | 12 |